Calculated powder diffraction line list of Ba3As for λ = 1.5418 Å (Cu Kα), from a PBE-relaxed structure.
Intensities are scaled so that the largest is 100.

Cell and atoms:
```
data_Ba3As
_chemical_formula_sum 'Ba12 As4'
_cell_length_a 11.486
_cell_length_b 15.523
_cell_length_c 4.548
_cell_angle_alpha 90.00
_cell_angle_beta 90.00
_cell_angle_gamma 90.00
_space_group_name_H-M_alt 'C m c m'
_space_group_IT_number 63
_space_group_name_Hall '-C 2c 2'
loop_
_atom_site_label
_atom_site_type_symbol
_atom_site_fract_x
_atom_site_fract_y
_atom_site_fract_z
Ba1 Ba 0.000 0.125 0.250
Ba2 Ba 0.172 0.365 0.250
As1 As 0.000 0.271 0.750
```

Top 10 peaks for 2θ = 5–70°, by intensity:
h k l, 2θ (°), I (rel.)
2 2 1, 27.53, 100
1 3 1, 27.23, 64
3 1 0, 23.94, 53
0 4 0, 22.92, 46
1 5 1, 35.88, 39
3 3 0, 29.01, 38
3 1 1, 31.08, 29
4 2 1, 38.86, 29
6 0 2, 63.46, 28
0 8 0, 46.83, 28